CdPd4Pb2: theoretical PXRD pattern (a wavelength of 1.5418 Å), based on a structure optimized by DFT (GGA-PBE).
Peak positions follow from Bragg's law for the DFT cell and can differ from measured ones.

Largest 10 diffraction maxima, in order of rising 2θ, 2θ from 10° to 90°:
2θ/deg	d_spacing	I (rel.)
32.60	2.746	42.2
33.81	2.651	37.5
33.99	2.637	42.9
35.52	2.527	70.1
36.63	2.453	70.1
36.74	2.446	100.0
38.02	2.366	48.9
39.17	2.300	56.5
39.54	2.279	38.6
47.64	1.909	36.3

Structure:
```
data_CdPd4Pb2
_symmetry_space_group_name_H-M 'P 1'
_symmetry_Int_Tables_number 1
_symmetry_space_group_name_Hall 'P 1'
_cell_length_a 7.402
_cell_length_b 7.402
_cell_length_c 6.269
_cell_angle_alpha 107.43
_cell_angle_beta 107.43
_cell_angle_gamma 110.03
loop_
_atom_site_label
_atom_site_fract_x
_atom_site_fract_y
_atom_site_fract_z
Cd1 0.104 0.896 0.500
Cd2 0.896 0.104 0.000
Pd1 0.013 0.238 0.672
Pd2 0.236 0.615 0.223
Pd3 0.238 0.013 0.172
Pd4 0.440 0.851 0.775
Pd5 0.615 0.236 0.723
Pd6 0.701 0.742 0.537
Pd7 0.742 0.701 0.037
Pd8 0.851 0.440 0.275
Pb1 0.340 0.424 0.546
Pb2 0.424 0.340 0.046
Pb3 0.603 0.972 0.282
Pb4 0.972 0.603 0.782
```

=====

RbLa2Be2O6: theoretical PXRD pattern (a wavelength of 1.5418 Å), based on a structure optimized by DFT (GGA-PBE).
Peak positions follow from Bragg's law for the DFT cell and can differ from measured ones.

Largest 10 diffraction maxima, in order of rising 2θ, 2θ from 10° to 90°:
2θ/deg	d_spacing	I (rel.)
17.99	4.930	100.0
26.22	3.399	74.8
27.89	3.199	42.3
30.15	2.964	47.9
30.98	2.887	23.0
31.34	2.854	32.4
32.61	2.746	33.0
35.65	2.519	24.9
48.33	1.883	20.8
53.97	1.699	20.3

Structure:
```
data_RbLa2Be2O6
_symmetry_space_group_name_H-M 'P 1'
_symmetry_Int_Tables_number 1
_symmetry_space_group_name_Hall 'P 1'
_cell_length_a 5.951
_cell_length_b 6.264
_cell_length_c 6.471
_cell_angle_alpha 96.55
_cell_angle_beta 114.63
_cell_angle_gamma 112.20
loop_
_atom_site_label
_atom_site_fract_x
_atom_site_fract_y
_atom_site_fract_z
Rb1 0.000 0.000 0.000
La1 0.366 0.295 0.670
La2 0.634 0.705 0.330
Be1 0.286 0.735 0.708
Be2 0.714 0.265 0.292
O1 0.119 0.875 0.637
O2 0.317 0.608 0.904
O3 0.457 0.700 0.592
O4 0.543 0.300 0.408
O5 0.683 0.392 0.096
O6 0.881 0.125 0.363
```

=====

Tb3HoEr2Te6: theoretical PXRD pattern (a wavelength of 1.5418 Å), based on a structure optimized by DFT (GGA-PBE).
Peak positions follow from Bragg's law for the DFT cell and can differ from measured ones.

Largest 10 diffraction maxima, in order of rising 2θ, 2θ from 10° to 90°:
2θ/deg	d_spacing	I (rel.)
29.05	3.073	100.0
41.32	2.185	12.8
41.45	2.178	25.4
41.70	2.166	37.6
51.13	1.786	6.9
51.69	1.768	13.4
60.22	1.537	12.7
68.09	1.377	11.6
68.40	1.372	11.5
76.01	1.252	10.6

Structure:
```
data_Tb3HoEr2Te6
_symmetry_space_group_name_H-M 'P 1'
_symmetry_Int_Tables_number 1
_symmetry_space_group_name_Hall 'P 1'
_cell_length_a 9.730
_cell_length_b 9.730
_cell_length_c 8.740
_cell_angle_alpha 103.37
_cell_angle_beta 103.37
_cell_angle_gamma 25.69
loop_
_atom_site_label
_atom_site_fract_x
_atom_site_fract_y
_atom_site_fract_z
Tb1 0.000 0.000 0.000
Tb2 0.334 0.334 0.667
Tb3 0.666 0.666 0.333
Ho1 0.000 0.000 0.500
Er1 0.334 0.334 0.168
Er2 0.666 0.666 0.832
Te1 0.166 0.166 0.586
Te2 0.168 0.168 0.080
Te3 0.499 0.499 0.252
Te4 0.501 0.501 0.748
Te5 0.832 0.832 0.920
Te6 0.834 0.834 0.414
```

=====

BaSi2S4: theoretical PXRD pattern (a wavelength of 1.5418 Å), based on a structure optimized by DFT (GGA-PBE).
Peak positions follow from Bragg's law for the DFT cell and can differ from measured ones.

Largest 10 diffraction maxima, in order of rising 2θ, 2θ from 10° to 90°:
2θ/deg	d_spacing	I (rel.)
19.16	4.632	48.0
22.75	3.908	28.1
29.92	2.987	100.0
32.40	2.763	19.5
35.19	2.550	20.3
36.35	2.472	17.8
48.58	1.874	44.6
52.35	1.748	15.9
54.61	1.681	16.7
61.47	1.508	21.9

Structure:
```
data_BaSi2S4
_symmetry_space_group_name_H-M 'P 1'
_symmetry_Int_Tables_number 1
_symmetry_space_group_name_Hall 'P 1'
_cell_length_a 7.816
_cell_length_b 7.816
_cell_length_c 5.750
_cell_angle_alpha 90.00
_cell_angle_beta 90.00
_cell_angle_gamma 90.00
loop_
_atom_site_label
_atom_site_fract_x
_atom_site_fract_y
_atom_site_fract_z
Ba1 0.000 0.000 0.000
Ba2 0.500 0.500 0.500
Si1 0.000 0.500 0.250
Si2 0.000 0.500 0.750
Si3 0.500 0.000 0.250
Si4 0.500 0.000 0.750
S1 0.124 0.314 0.500
S2 0.186 0.624 0.000
S3 0.314 0.876 0.500
S4 0.376 0.186 0.000
S5 0.624 0.814 0.000
S6 0.686 0.124 0.500
S7 0.814 0.376 0.000
S8 0.876 0.686 0.500
```

=====

La8TcAg2: theoretical PXRD pattern (a wavelength of 1.5418 Å), based on a structure optimized by DFT (GGA-PBE).
Peak positions follow from Bragg's law for the DFT cell and can differ from measured ones.

Largest 10 diffraction maxima, in order of rising 2θ, 2θ from 10° to 90°:
2θ/deg	d_spacing	I (rel.)
29.76	3.002	42.4
31.13	2.873	13.3
33.45	2.679	100.0
34.37	2.609	9.4
37.24	2.414	9.8
47.69	1.907	10.6
48.38	1.881	9.0
55.21	1.664	26.0
57.23	1.610	12.4
79.59	1.204	7.0

Structure:
```
data_La8TcAg2
_symmetry_space_group_name_H-M 'P 1'
_symmetry_Int_Tables_number 1
_symmetry_space_group_name_Hall 'P 1'
_cell_length_a 8.719
_cell_length_b 8.719
_cell_length_c 8.719
_cell_angle_alpha 139.72
_cell_angle_beta 128.12
_cell_angle_gamma 67.66
loop_
_atom_site_label
_atom_site_fract_x
_atom_site_fract_y
_atom_site_fract_z
La1 0.125 0.364 0.761
La2 0.144 0.144 0.000
La3 0.268 0.000 0.268
La4 0.397 0.636 0.761
La5 0.603 0.364 0.239
La6 0.732 0.000 0.732
La7 0.856 0.856 0.000
La8 0.875 0.636 0.239
Tc1 0.000 0.500 0.500
Ag1 0.310 0.810 0.500
Ag2 0.690 0.190 0.500
```

=====

Nd3SbCl3: theoretical PXRD pattern (a wavelength of 1.5418 Å), based on a structure optimized by DFT (GGA-PBE).
Peak positions follow from Bragg's law for the DFT cell and can differ from measured ones.

Largest 10 diffraction maxima, in order of rising 2θ, 2θ from 10° to 90°:
2θ/deg	d_spacing	I (rel.)
25.85	3.446	43.1
30.03	2.976	100.0
36.02	2.493	23.0
42.78	2.114	36.6
43.19	2.095	38.9
53.15	1.723	19.3
62.42	1.488	12.8
70.51	1.336	16.3
71.10	1.326	14.4
78.64	1.217	12.9

Structure:
```
data_Nd3SbCl3
_symmetry_space_group_name_H-M 'P 1'
_symmetry_Int_Tables_number 1
_symmetry_space_group_name_Hall 'P 1'
_cell_length_a 11.057
_cell_length_b 11.057
_cell_length_c 11.057
_cell_angle_alpha 38.67
_cell_angle_beta 38.67
_cell_angle_gamma 38.67
loop_
_atom_site_label
_atom_site_fract_x
_atom_site_fract_y
_atom_site_fract_z
Nd1 0.059 0.390 0.728
Nd2 0.272 0.941 0.610
Nd3 0.390 0.728 0.059
Nd4 0.610 0.272 0.941
Nd5 0.728 0.059 0.390
Nd6 0.941 0.610 0.272
Sb1 0.333 0.333 0.333
Sb2 0.667 0.667 0.667
Cl1 0.111 0.776 0.446
Cl2 0.224 0.554 0.889
Cl3 0.446 0.111 0.776
Cl4 0.554 0.889 0.224
Cl5 0.776 0.446 0.111
Cl6 0.889 0.224 0.554
```

=====

In3Co: theoretical PXRD pattern (a wavelength of 1.5418 Å), based on a structure optimized by DFT (GGA-PBE).
Peak positions follow from Bragg's law for the DFT cell and can differ from measured ones.

Largest 10 diffraction maxima, in order of rising 2θ, 2θ from 10° to 90°:
2θ/deg	d_spacing	I (rel.)
29.03	3.076	36.5
31.13	2.873	51.2
36.32	2.474	37.4
38.68	2.328	100.0
41.52	2.175	62.1
51.31	1.781	17.5
59.72	1.548	15.4
63.00	1.475	17.5
68.05	1.378	26.8
79.77	1.202	16.4

Structure:
```
data_In3Co
_symmetry_space_group_name_H-M 'P 1'
_symmetry_Int_Tables_number 1
_symmetry_space_group_name_Hall 'P 1'
_cell_length_a 6.878
_cell_length_b 6.878
_cell_length_c 7.123
_cell_angle_alpha 90.00
_cell_angle_beta 90.00
_cell_angle_gamma 90.00
loop_
_atom_site_label
_atom_site_fract_x
_atom_site_fract_y
_atom_site_fract_z
In1 0.000 0.500 0.000
In2 0.000 0.500 0.500
In3 0.154 0.154 0.244
In4 0.154 0.154 0.756
In5 0.346 0.654 0.256
In6 0.346 0.654 0.744
In7 0.500 0.000 0.000
In8 0.500 0.000 0.500
In9 0.654 0.346 0.256
In10 0.654 0.346 0.744
In11 0.846 0.846 0.244
In12 0.846 0.846 0.756
Co1 0.151 0.849 0.000
Co2 0.349 0.349 0.500
Co3 0.651 0.651 0.500
Co4 0.849 0.151 0.000
```

=====

Ac8GaIr3I3: theoretical PXRD pattern (a wavelength of 1.5418 Å), based on a structure optimized by DFT (GGA-PBE).
Peak positions follow from Bragg's law for the DFT cell and can differ from measured ones.

Largest 10 diffraction maxima, in order of rising 2θ, 2θ from 10° to 90°:
2θ/deg	d_spacing	I (rel.)
10.63	8.322	33.1
23.99	3.710	9.0
27.03	3.299	100.0
34.12	2.628	21.1
36.94	2.433	26.9
40.20	2.243	40.0
46.33	1.960	14.2
49.11	1.855	19.2
52.46	1.744	8.0
65.26	1.430	15.8

Structure:
```
data_Ac8GaIr3I3
_symmetry_space_group_name_H-M 'P 1'
_symmetry_Int_Tables_number 1
_symmetry_space_group_name_Hall 'P 1'
_cell_length_a 8.978
_cell_length_b 8.978
_cell_length_c 9.807
_cell_angle_alpha 117.28
_cell_angle_beta 117.28
_cell_angle_gamma 59.92
loop_
_atom_site_label
_atom_site_fract_x
_atom_site_fract_y
_atom_site_fract_z
Ac1 0.211 0.741 0.692
Ac2 0.231 0.231 0.691
Ac3 0.259 0.259 0.308
Ac4 0.259 0.789 0.308
Ac5 0.741 0.211 0.692
Ac6 0.741 0.741 0.692
Ac7 0.769 0.769 0.309
Ac8 0.789 0.259 0.308
Ga1 0.500 0.500 0.500
Ir1 0.000 0.000 0.500
Ir2 0.000 0.500 0.500
Ir3 0.500 0.000 0.500
I1 0.000 0.500 0.000
I2 0.500 0.000 0.000
I3 0.500 0.500 0.000
```

=====

PaBS3: theoretical PXRD pattern (a wavelength of 1.5418 Å), based on a structure optimized by DFT (GGA-PBE).
Peak positions follow from Bragg's law for the DFT cell and can differ from measured ones.

Largest 10 diffraction maxima, in order of rising 2θ, 2θ from 10° to 90°:
2θ/deg	d_spacing	I (rel.)
12.74	6.946	100.0
14.35	6.172	23.1
19.57	4.535	23.2
23.43	3.798	40.6
30.58	2.924	18.6
32.44	2.760	39.4
35.74	2.512	18.8
39.60	2.276	10.5
39.77	2.266	15.1
44.51	2.035	11.7

Structure:
```
data_PaBS3
_symmetry_space_group_name_H-M 'P 1'
_symmetry_Int_Tables_number 1
_symmetry_space_group_name_Hall 'P 1'
_cell_length_a 8.318
_cell_length_b 8.318
_cell_length_c 8.318
_cell_angle_alpha 66.76
_cell_angle_beta 131.07
_cell_angle_gamma 137.53
loop_
_atom_site_label
_atom_site_fract_x
_atom_site_fract_y
_atom_site_fract_z
Pa1 0.073 0.250 0.323
Pa2 0.927 0.750 0.677
B1 0.449 0.245 0.704
B2 0.541 0.745 0.296
S1 0.221 0.215 0.733
S2 0.221 0.988 0.505
S3 0.479 0.909 0.070
S4 0.482 0.488 0.267
S5 0.482 0.715 0.495
S6 0.838 0.409 0.930
```

=====

ErTmCu2Si2: theoretical PXRD pattern (a wavelength of 1.5418 Å), based on a structure optimized by DFT (GGA-PBE).
Peak positions follow from Bragg's law for the DFT cell and can differ from measured ones.

Largest 10 diffraction maxima, in order of rising 2θ, 2θ from 10° to 90°:
2θ/deg	d_spacing	I (rel.)
24.85	3.584	35.5
35.11	2.556	100.0
43.75	2.069	40.5
50.03	1.823	9.1
56.65	1.625	7.9
57.29	1.608	24.2
68.61	1.368	20.7
74.77	1.270	21.8
80.39	1.195	6.7
84.10	1.151	8.1

Structure:
```
data_ErTmCu2Si2
_symmetry_space_group_name_H-M 'P 1'
_symmetry_Int_Tables_number 1
_symmetry_space_group_name_Hall 'P 1'
_cell_length_a 4.138
_cell_length_b 4.138
_cell_length_c 7.292
_cell_angle_alpha 90.00
_cell_angle_beta 90.00
_cell_angle_gamma 120.00
loop_
_atom_site_label
_atom_site_fract_x
_atom_site_fract_y
_atom_site_fract_z
Er1 0.000 0.000 0.000
Tm1 0.000 0.000 0.500
Cu1 0.333 0.667 0.747
Cu2 0.667 0.333 0.253
Si1 0.333 0.667 0.251
Si2 0.667 0.333 0.749
```

=====

Mg2Cd8Ag3: theoretical PXRD pattern (a wavelength of 1.5418 Å), based on a structure optimized by DFT (GGA-PBE).
Peak positions follow from Bragg's law for the DFT cell and can differ from measured ones.

Largest 10 diffraction maxima, in order of rising 2θ, 2θ from 10° to 90°:
2θ/deg	d_spacing	I (rel.)
28.51	3.130	27.3
33.66	2.663	38.0
34.21	2.621	16.5
35.07	2.559	27.4
35.46	2.532	59.8
37.16	2.420	24.0
37.80	2.380	100.0
38.68	2.328	27.9
43.47	2.082	14.7
65.24	1.430	23.9

Structure:
```
data_Mg2Cd8Ag3
_symmetry_space_group_name_H-M 'P 1'
_symmetry_Int_Tables_number 1
_symmetry_space_group_name_Hall 'P 1'
_cell_length_a 7.475
_cell_length_b 7.475
_cell_length_c 5.312
_cell_angle_alpha 104.00
_cell_angle_beta 104.00
_cell_angle_gamma 85.28
loop_
_atom_site_label
_atom_site_fract_x
_atom_site_fract_y
_atom_site_fract_z
Mg1 0.209 0.209 0.370
Mg2 0.791 0.791 0.630
Cd1 0.071 0.071 0.793
Cd2 0.097 0.589 0.351
Cd3 0.356 0.356 0.947
Cd4 0.411 0.903 0.649
Cd5 0.589 0.097 0.351
Cd6 0.644 0.644 0.053
Cd7 0.903 0.411 0.649
Cd8 0.929 0.929 0.207
Ag1 0.245 0.755 0.000
Ag2 0.500 0.500 0.500
Ag3 0.755 0.245 0.000
```

=====

RbNaAg10: theoretical PXRD pattern (a wavelength of 1.5418 Å), based on a structure optimized by DFT (GGA-PBE).
Peak positions follow from Bragg's law for the DFT cell and can differ from measured ones.

Largest 10 diffraction maxima, in order of rising 2θ, 2θ from 10° to 90°:
2θ/deg	d_spacing	I (rel.)
17.83	4.974	87.2
36.18	2.483	26.1
36.66	2.451	100.0
36.80	2.442	51.1
38.43	2.342	55.8
40.99	2.202	33.6
41.15	2.194	76.3
59.21	1.561	23.1
68.39	1.372	22.4
77.96	1.226	23.2

Structure:
```
data_RbNaAg10
_symmetry_space_group_name_H-M 'P 1'
_symmetry_Int_Tables_number 1
_symmetry_space_group_name_Hall 'P 1'
_cell_length_a 4.685
_cell_length_b 5.724
_cell_length_c 9.979
_cell_angle_alpha 90.00
_cell_angle_beta 90.00
_cell_angle_gamma 90.00
loop_
_atom_site_label
_atom_site_fract_x
_atom_site_fract_y
_atom_site_fract_z
Rb1 0.000 0.000 0.000
Na1 0.000 0.500 0.500
Ag1 0.000 0.000 0.343
Ag2 0.000 0.000 0.657
Ag3 0.000 0.500 0.182
Ag4 0.000 0.500 0.818
Ag5 0.500 0.000 0.500
Ag6 0.500 0.253 0.257
Ag7 0.500 0.253 0.743
Ag8 0.500 0.500 0.000
Ag9 0.500 0.747 0.257
Ag10 0.500 0.747 0.743
```

=====

CsBeGeCl: theoretical PXRD pattern (a wavelength of 1.5418 Å), based on a structure optimized by DFT (GGA-PBE).
Peak positions follow from Bragg's law for the DFT cell and can differ from measured ones.

Largest 10 diffraction maxima, in order of rising 2θ, 2θ from 10° to 90°:
2θ/deg	d_spacing	I (rel.)
12.45	7.109	21.8
21.51	4.132	22.8
27.95	3.192	100.0
32.01	2.796	71.5
33.16	2.702	61.5
37.96	2.370	23.1
41.84	2.159	17.5
51.28	1.781	35.7
53.63	1.709	31.5
60.86	1.522	20.8

Structure:
```
data_CsBeGeCl
_symmetry_space_group_name_H-M 'P 1'
_symmetry_Int_Tables_number 1
_symmetry_space_group_name_Hall 'P 1'
_cell_length_a 3.463
_cell_length_b 4.318
_cell_length_c 14.217
_cell_angle_alpha 90.00
_cell_angle_beta 90.00
_cell_angle_gamma 90.00
loop_
_atom_site_label
_atom_site_fract_x
_atom_site_fract_y
_atom_site_fract_z
Cs1 0.000 0.000 0.000
Cs2 0.500 0.500 0.500
Be1 0.000 0.500 0.259
Be2 0.500 0.000 0.759
Ge1 0.000 0.000 0.320
Ge2 0.500 0.500 0.820
Cl1 0.000 0.000 0.658
Cl2 0.500 0.500 0.158
```